(1)
# Cs4DyPu3O12
Theoretical powder diffractogram, Cu Kα. Input: a crystal structure in Alexandria, relaxed with GGA-PBE.
Kinematic intensities with the Lorentz-polarization factor, no thermal factor.

Structural model:
Cell lengths 7.600, 7.600, 7.600 Å; angles 109.47, 109.47, 109.47 degrees
Element x y z (fractional)
Cs 0.000 0.000 0.500
Cs 0.000 0.500 0.000
Cs 0.500 0.000 0.000
Cs 0.500 0.500 0.500
Dy 0.000 0.000 0.000
Pu 0.000 0.500 0.500
Pu 0.500 0.000 0.500
Pu 0.500 0.500 0.000
O 0.000 0.269 0.269
O 0.000 0.731 0.731
O 0.250 0.500 0.750
O 0.250 0.750 0.500
O 0.269 0.000 0.269
O 0.269 0.269 0.000
O 0.500 0.250 0.750
O 0.500 0.750 0.250
O 0.731 0.000 0.731
O 0.731 0.731 0.000
O 0.750 0.250 0.500
O 0.750 0.500 0.250

Main lines, in order of falling intensity (10 to 80 degrees two-theta):
2θ/deg, I (rel.)
28.77, 1000
50.98, 421
41.15, 274
67.50, 189
59.60, 179
20.24, 112
74.98, 60
46.27, 55
63.62, 26
14.27, 19


(2)
# ScTi7Ga4
Theoretical powder diffractogram, Cu Kα. Input: a crystal structure in Alexandria, relaxed with GGA-PBE.
Kinematic intensities with the Lorentz-polarization factor, no thermal factor.

Structural model:
Cell lengths 6.548, 6.548, 9.185 Å; angles 123.47, 123.47, 41.66 degrees
Element x y z (fractional)
Sc 0.000 0.000 0.000
Ti 0.057 0.057 0.399
Ti 0.221 0.221 0.867
Ti 0.313 0.313 0.369
Ti 0.500 0.500 0.000
Ti 0.687 0.687 0.631
Ti 0.779 0.779 0.133
Ti 0.943 0.943 0.601
Ga 0.316 0.316 0.661
Ga 0.434 0.434 0.225
Ga 0.566 0.566 0.775
Ga 0.684 0.684 0.339

Main lines, in order of falling intensity (10 to 80 degrees two-theta):
2θ/deg, I (rel.)
38.67, 1000
40.83, 856
42.82, 471
44.36, 418
35.57, 400
32.82, 395
40.66, 377
36.07, 344
21.09, 334
43.99, 301


Repeat the first record exactly.
# Cs4DyPu3O12
Theoretical powder diffractogram, Cu Kα. Input: a crystal structure in Alexandria, relaxed with GGA-PBE.
Kinematic intensities with the Lorentz-polarization factor, no thermal factor.

Structural model:
Cell lengths 7.600, 7.600, 7.600 Å; angles 109.47, 109.47, 109.47 degrees
Element x y z (fractional)
Cs 0.000 0.000 0.500
Cs 0.000 0.500 0.000
Cs 0.500 0.000 0.000
Cs 0.500 0.500 0.500
Dy 0.000 0.000 0.000
Pu 0.000 0.500 0.500
Pu 0.500 0.000 0.500
Pu 0.500 0.500 0.000
O 0.000 0.269 0.269
O 0.000 0.731 0.731
O 0.250 0.500 0.750
O 0.250 0.750 0.500
O 0.269 0.000 0.269
O 0.269 0.269 0.000
O 0.500 0.250 0.750
O 0.500 0.750 0.250
O 0.731 0.000 0.731
O 0.731 0.731 0.000
O 0.750 0.250 0.500
O 0.750 0.500 0.250

Main lines, in order of falling intensity (10 to 80 degrees two-theta):
2θ/deg, I (rel.)
28.77, 1000
50.98, 421
41.15, 274
67.50, 189
59.60, 179
20.24, 112
74.98, 60
46.27, 55
63.62, 26
14.27, 19